[1]
Theoretical X-ray powder pattern of Nb2Co3Si for CuKα, from DFT lattice parameters and positions (PBE).
No peak broadening, texture or thermal motion is included.

Peak list (8 most intense, 2θ = 15–90°, sorted by position)
2θ (°), Rel. int.
36.93, 40
41.79, 96
42.90, 27
44.27, 100
44.63, 91
69.86, 36
77.79, 33
78.61, 29

Structure:
Unit cell a=4.8680 b=4.8680 c=7.5520 alpha=90.00 beta=90.00 gamma=120.00
Element x y z (fractional)
Nb  0.3333  0.6667  0.0601
Nb  0.3333  0.6667  0.4399
Nb  0.6667  0.3333  0.5601
Nb  0.6667  0.3333  0.9399
Co  0.1699  0.3398  0.7500
Co  0.1699  0.8301  0.7500
Co  0.3398  0.1699  0.2500
Co  0.6602  0.8301  0.7500
Co  0.8301  0.1699  0.2500
Co  0.8301  0.6602  0.2500
Si  0.0000  0.0000  0.0000
Si  0.0000  0.0000  0.5000

=====

[2]
Theoretical X-ray powder pattern of ErSn3 for CuKα, from DFT lattice parameters and positions (PBE).
No peak broadening, texture or thermal motion is included.

Peak list (8 most intense, 2θ = 15–90°, sorted by position)
2θ (°), Rel. int.
31.04, 71
32.44, 43
35.13, 100
40.56, 35
40.94, 29
52.86, 22
53.18, 22
62.18, 26

Structure:
Unit cell a=4.4489 b=11.2565 c=11.2565 alpha=22.59 beta=90.00 gamma=90.00
Element x y z (fractional)
Er  0.0000  0.0000  0.0000
Er  0.5000  0.2673  0.2673
Sn  0.0000  0.1488  0.1488
Sn  0.0000  0.3865  0.3865
Sn  0.0000  0.7621  0.7621
Sn  0.5000  0.5129  0.5129
Sn  0.5000  0.6493  0.6493
Sn  0.5000  0.8846  0.8846

=====

[3]
Theoretical X-ray powder pattern of RbHfCdF7 for CuKα, from DFT lattice parameters and positions (PBE).
No peak broadening, texture or thermal motion is included.

Peak list (8 most intense, 2θ = 15–90°, sorted by position)
2θ (°), Rel. int.
15.68, 46
20.62, 63
25.63, 70
25.88, 74
26.00, 75
26.97, 100
37.02, 44
47.28, 48

Structure:
Unit cell a=6.6184 b=6.6184 c=8.6165 alpha=90.00 beta=90.00 gamma=117.31
Element x y z (fractional)
Rb  0.0000  0.0000  0.0000
Rb  0.0000  0.0000  0.5000
Hf  0.3075  0.6925  0.7500
Hf  0.6925  0.3075  0.2500
Cd  0.3092  0.6908  0.2500
Cd  0.6908  0.3092  0.7500
F  0.0219  0.3296  0.2500
F  0.0652  0.3497  0.7500
F  0.2970  0.7030  0.5167
F  0.2970  0.7030  0.9833
F  0.3296  0.0219  0.7500
F  0.3497  0.0652  0.2500
F  0.4878  0.5122  0.7500
F  0.5122  0.4878  0.2500
F  0.6503  0.9348  0.7500
F  0.6704  0.9781  0.2500
F  0.7030  0.2970  0.0167
F  0.7030  0.2970  0.4833
F  0.9348  0.6503  0.2500
F  0.9781  0.6704  0.7500

=====

[4]
Theoretical X-ray powder pattern of Hf2Co7 for CuKα, from DFT lattice parameters and positions (PBE).
No peak broadening, texture or thermal motion is included.

Peak list (8 most intense, 2θ = 15–90°, sorted by position)
2θ (°), Rel. int.
32.77, 42
37.00, 52
38.44, 59
38.77, 38
43.44, 76
44.80, 39
45.52, 100
46.97, 39

Structure:
Unit cell a=4.7331 b=4.7331 c=6.2633 alpha=97.83 beta=97.83 gamma=120.90
Element x y z (fractional)
Hf  0.1004  0.1004  0.2681
Hf  0.8996  0.8996  0.7319
Co  0.0000  0.5000  0.0000
Co  0.2088  0.5449  0.6549
Co  0.4551  0.7912  0.3451
Co  0.5000  0.0000  0.0000
Co  0.5000  0.5000  0.0000
Co  0.5449  0.2088  0.6549
Co  0.7912  0.4551  0.3451

=====

Which formula does entry 4 have? Hf2Co7